Entry 1:
Calculated powder diffraction line list of AsS4N4F5 for CuKα, from a DFT-relaxed cell (GGA-PBE, the Materials Project).
Intensities are scaled so that the largest is 100.

Crystal structure
abc: 7.9434 10.6610 12.7897
angles: 90.00 110.91 90.00
Space group P2_1/c (No. 14)
Symmetry-distinct sites (fractional):
As  0.1323  0.1836  0.2136 [4 per cell]
S  0.1997  0.0464  0.6253 [4 per cell]
S  0.3219  0.6735  0.6444 [4 per cell]
S  0.3285  0.0762  0.8570 [4 per cell]
S  0.4658  0.6486  0.8930 [4 per cell]
N  0.2197  0.1412  0.7325 [4 per cell]
N  0.3561  0.0711  0.5769 [4 per cell]
N  0.3808  0.7099  0.7728 [4 per cell]
N  0.4615  0.6079  0.6016 [4 per cell]
F  0.0541  0.0271  0.1983 [4 per cell]
F  0.0546  0.2067  0.3264 [4 per cell]
F  0.0769  0.7369  0.3846 [4 per cell]
F  0.2153  0.1635  0.1023 [4 per cell]
F  0.3458  0.1336  0.3118 [4 per cell]

Main lines, in order of rising 2θ (2θ = 15–90°):
d 5.331, 2θ 16.63, I 31, (0 2 0)
d 5.072, 2θ 17.49, I 100, (1 1 -2)
d 4.372, 2θ 20.31, I 91, (1 2 -1)
d 4.007, 2θ 22.19, I 55, (1 0 2)
d 3.823, 2θ 23.27, I 72, (1 2 1)
d 3.598, 2θ 24.75, I 55, (2 1 -2)
d 3.504, 2θ 25.42, I 56, (2 1 0)
d 3.223, 2θ 27.68, I 84, (1 3 -1)
d 3.191, 2θ 27.96, I 51, (0 2 3)
d 2.984, 2θ 29.94, I 46, (0 0 4)

=====

Entry 2:
Calculated powder diffraction line list of CaMg14B for CuKα, from a DFT-relaxed cell (GGA-PBE, the Materials Project).
Intensities are scaled so that the largest is 100.

Crystal structure
abc: 6.3534 6.3534 10.3246
angles: 90.00 90.00 120.00
Space group P-6m2 (No. 187)
Symmetry-distinct sites (fractional):
Ca  0.0000  0.0000  0.0000 [1 per cell]
Mg  0.0099  0.5050  0.0000 [3 per cell]
Mg  0.1622  0.3245  0.2677 [6 per cell]
Mg  0.5037  0.0075  0.5000 [3 per cell]
Mg  0.6667  0.3333  0.2421 [2 per cell]
B  0.0000  0.0000  0.5000 [1 per cell]

Main lines, in order of rising 2θ (2θ = 15–90°):
d 4.856, 2θ 18.27, I 4, (1 0 1)
d 2.918, 2θ 30.64, I 4, (1 0 3)
d 2.751, 2θ 32.55, I 24, (2 0 0)
d 2.581, 2θ 34.76, I 25, (0 0 4)
d 2.428, 2θ 37.03, I 100, (2 0 2)
d 1.882, 2θ 48.35, I 14, (2 0 4)
d 1.588, 2θ 58.07, I 17, (2 2 0)
d 1.459, 2θ 63.80, I 16, (2 0 6)
d 1.353, 2θ 69.49, I 18, (2 2 4)
d 1.329, 2θ 70.90, I 13, (4 0 2)

=====

Entry 3:
Calculated powder diffraction line list of PaHgO3 for CuKα, from a DFT-relaxed cell (GGA-PBE, the Materials Project).
Intensities are scaled so that the largest is 100.

Crystal structure
abc: 4.3754 4.3754 4.3754
angles: 90.00 90.00 90.00
Space group Pm-3m (No. 221)
Symmetry-distinct sites (fractional):
Pa  0.0000  0.0000  0.0000 [1 per cell]
Hg  0.5000  0.5000  0.5000 [1 per cell]
O  0.0000  0.0000  0.5000 [3 per cell]

Main lines, in order of rising 2θ (2θ = 15–90°):
d 4.375, 2θ 20.30, I 1, (1 0 0)
d 3.094, 2θ 28.86, I 100, (1 1 0)
d 2.188, 2θ 41.27, I 26, (2 0 0)
d 1.957, 2θ 46.41, I 1, (2 1 0)
d 1.786, 2θ 51.14, I 43, (2 1 1)
d 1.547, 2θ 59.78, I 17, (2 2 0)
d 1.384, 2θ 67.72, I 19, (3 1 0)
d 1.263, 2θ 75.23, I 6, (2 2 2)
d 1.169, 2θ 82.49, I 23, (3 2 1)
d 1.094, 2θ 89.62, I 3, (4 0 0)

=====

Entry 4:
Calculated powder diffraction line list of Zr2Ag3F14 for CuKα, from a DFT-relaxed cell (GGA-PBE, the Materials Project).
Intensities are scaled so that the largest is 100.

Crystal structure
abc: 9.5280 6.8399 9.3420
angles: 90.00 91.09 90.00
Space group C2/m (No. 12)
Symmetry-distinct sites (fractional):
Zr  0.0911  0.0000  0.2144 [4 per cell]
Ag  0.0000  0.5000  0.0000 [2 per cell]
Ag  0.1882  0.5000  0.3975 [4 per cell]
F  0.0000  0.0000  0.0000 [2 per cell]
F  0.0000  0.5000  0.5000 [2 per cell]
F  0.0627  0.2955  0.1598 [8 per cell]
F  0.1095  0.0000  0.7043 [4 per cell]
F  0.1727  0.1792  0.3837 [8 per cell]
F  0.2252  0.5000  0.8798 [4 per cell]

Main lines, in order of rising 2θ (2θ = 15–90°):
d 4.276, 2θ 20.77, I 94, (2 0 -1)
d 3.556, 2θ 25.04, I 100, (1 1 2)
d 3.420, 2θ 26.05, I 41, (0 2 0)
d 2.739, 2θ 32.69, I 21, (3 1 1)
d 2.729, 2θ 32.82, I 19, (1 1 -3)
d 2.671, 2θ 33.55, I 16, (2 2 -1)
d 2.138, 2θ 42.27, I 21, (4 0 -2)
d 2.081, 2θ 43.48, I 18, (2 0 4)
d 2.000, 2θ 45.35, I 32, (1 3 2)
d 1.812, 2θ 50.36, I 36, (1 3 -3)